Structure and calculated powder diffraction line list of Nd2Re2Si2C (a cell relaxed with GGA-PBE; copper Kα).
Kinematic intensities with the Lorentz-polarization factor, no thermal factor.

Largest 10 diffraction maxima, by angle, 2θ from 10° to 90°:
15.63 deg, d 5.671, rel. 32, (0 0 1)
25.19 deg, d 3.536, rel. 18, (1 1 -1)
32.51 deg, d 2.755, rel. 41, (2 0 1)
32.77 deg, d 2.733, rel. 100, (3 1 -1)
34.59 deg, d 2.594, rel. 91, (1 1 -2)
37.80 deg, d 2.380, rel. 24, (3 1 0)
39.39 deg, d 2.288, rel. 27, (4 0 -3)
44.60 deg, d 2.031, rel. 27, (0 2 0)
56.27 deg, d 1.635, rel. 18, (2 2 1)
60.49 deg, d 1.531, rel. 20, (1 1 3)

Atomic structure:
```
data_Nd2Re2Si2C
_space_group_name_H-M_alt 'C 1 2/m 1'
_space_group_IT_number 12
_cell_length_a 11.1591
_cell_length_b 4.0630
_cell_length_c 7.1847
_cell_angle_alpha 90.00
_cell_angle_beta 127.87
_cell_angle_gamma 90.00
loop_
_space_group_symop_operation_xyz
'x,y,z'
'-x,-y,-z'
'-x,y,-z'
'x,-y,z'
'x+1/2,y+1/2,z'
'-x+1/2,-y+1/2,-z'
'-x+1/2,y+1/2,-z'
'x+1/2,-y+1/2,z'
loop_
_atom_site_label
_atom_site_fract_x
_atom_site_fract_y
_atom_site_fract_z
Nd1 0.0722 0.0000 0.3033
Re1 0.2042 0.5000 0.0873
Si1 0.1477 0.5000 0.6958
C1 0.0000 0.5000 0.0000
```